# Ga2Co2Mo3
Computed powder X-ray diffraction pattern, Cu Kα. Input: a DFT-relaxed cell (GGA-PBE, OQMD).
No peak broadening, texture or thermal motion is included.

Principal peaks in the range 10 to 90 degrees two-theta, low angle first:
| two_theta | I (rel.) |
| --- | --- |
| 14.2 | 6 |
| 30.9 | 5 |
| 34.2 | 2 |
| 41.8 | 100 |
| 42.5 | 97 |
| 45.0 | 2 |
| 61.1 | 31 |
| 75.8 | 15 |
| 77.3 | 31 |
| 77.8 | 15 |

```
Ga2Co2Mo3
1.0
2.127 1.228 6.227
-2.127 1.228 6.227
0.000 -2.456 6.227
Ga Co Mo
2 2 3
Cartesian
0.000 0.000 0.000
0.000 0.000 7.915
0.000 0.000 2.605
0.000 0.000 13.241
0.000 0.000 5.196
0.000 0.000 10.579
0.000 0.000 15.812
```